This entry pairs a crystal structure of RbTlPb with its theoretical X-ray diffraction stick pattern. Radiation: Cu Kα (weighted mean of Kα1 and Kα2). Structure: a cell relaxed with PBE.
Lines closer than 0.1° are merged.

Cell and atoms:
a b c (Å): 10.722 9.031 5.586
angles (deg): 90.00 121.37 90.00
Atoms (fractional coordinates):
Rb 0.000 0.000 0.000
Rb 0.000 0.364 0.500
Rb 0.500 0.500 0.000
Rb 0.500 0.864 0.500
Tl 0.170 0.591 0.171
Tl 0.330 0.091 0.829
Tl 0.670 0.091 0.171
Tl 0.830 0.591 0.829
Pb 0.172 0.771 0.673
Pb 0.328 0.271 0.327
Pb 0.672 0.271 0.673
Pb 0.828 0.771 0.327

Largest 10 diffraction maxima, in order of rising 2θ, 2θ = 10–80°:
(hkl)  2theta  I_rel
1 1 0  13.77  64.6
1 1 -1  18.68  39.1
1 1 1  27.05  69.7
2 2 -1  27.20  100.0
3 1 0  30.93  88.6
2 0 -2  32.05  69.1
1 3 -1  33.83  90.1
4 2 -1  39.11  60.8
5 1 -2  45.14  63.7
2 4 1  53.05  43.7